No. 1
Calculated powder XRD pattern of Na4Al3FeO8 for Cu Kα (λ = 1.5418 Å), from a cell relaxed with PBE+U.
Neutral-atom scattering factors, no anomalous dispersion.

Cell and atoms:
a = 5.331 Å, b = 5.541 Å, c = 7.115 Å
α = 90.02°, β = 90.00°, γ = 90.02°
Space group P1 (No. 1)
Unique sites:
Na  0.000  0.000  0.000 (multiplicity 1)
Na  0.001  0.495  0.256 (multiplicity 1)
Na  0.499  0.853  0.756 (multiplicity 1)
Na  0.500  0.355  0.504 (multiplicity 1)
Al  0.487  0.366  0.998 (multiplicity 1)
Al  0.985  0.990  0.511 (multiplicity 1)
Al  0.987  0.489  0.753 (multiplicity 1)
Fe  0.487  0.865  0.252 (multiplicity 1)
O  0.059  0.300  0.557 (multiplicity 1)
O  0.060  0.798  0.705 (multiplicity 1)
O  0.138  0.896  0.301 (multiplicity 1)
O  0.159  0.396  0.955 (multiplicity 1)
O  0.561  0.056  0.037 (multiplicity 1)
O  0.561  0.534  0.205 (multiplicity 1)
O  0.656  0.967  0.471 (multiplicity 1)
O  0.659  0.466  0.799 (multiplicity 1)

The 8 most intense peaks (10 to 80 degrees two-theta), in order of falling intensity:
2θ = 34.36°, I = 100, hkl 1 1 -2; 2θ = 33.62°, I = 74, hkl 2 0 0; 2θ = 29.85°, I = 62, hkl 0 1 2; 2θ = 32.31°, I = 55, hkl 0 2 0; 2θ = 60.59°, I = 41, hkl 3 -1 2; 2θ = 20.82°, I = 38, hkl 1 0 -1; 2θ = 20.31°, I = 35, hkl 0 1 -1; 2θ = 56.11°, I = 34, hkl 0 3 2



No. 2
Calculated powder XRD pattern of NaAl3Fe6S2O38 for Cu Kα (λ = 1.5418 Å), from a cell relaxed with PBE+U.
Neutral-atom scattering factors, no anomalous dispersion.

Cell and atoms:
a = 8.683 Å, b = 8.777 Å, c = 12.895 Å
α = 109.35°, β = 90.56°, γ = 119.39°
Space group P1 (No. 1)
Unique sites:
Na  0.000  0.000  0.000 (multiplicity 1)
Al  0.176  0.339  0.503 (multiplicity 1)
Al  0.506  0.000  0.501 (multiplicity 1)
Al  0.840  0.668  0.500 (multiplicity 1)
Fe  0.170  0.667  0.500 (multiplicity 1)
Fe  0.174  0.001  0.498 (multiplicity 1)
Fe  0.506  0.336  0.504 (multiplicity 1)
Fe  0.509  0.670  0.502 (multiplicity 1)
Fe  0.839  0.000  0.499 (multiplicity 1)
Fe  0.843  0.337  0.504 (multiplicity 1)
S  0.307  0.601  0.906 (multiplicity 1)
S  0.704  0.398  0.097 (multiplicity 1)
O  0.028  0.712  0.417 (multiplicity 1)
O  0.040  0.397  0.421 (multiplicity 1)
O  0.043  0.066  0.420 (multiplicity 1)
O  0.111  0.921  0.146 (multiplicity 1)
O  0.112  0.459  0.863 (multiplicity 1)
O  0.196  0.967  0.858 (multiplicity 1)
O  0.242  0.339  0.149 (multiplicity 1)
O  0.242  0.485  0.165 (multiplicity 1)
O  0.264  0.953  0.168 (multiplicity 1)
O  0.310  0.940  0.580 (multiplicity 1)
O  0.313  0.613  0.582 (multiplicity 1)
O  0.320  0.290  0.584 (multiplicity 1)
O  0.322  0.092  0.837 (multiplicity 1)
O  0.348  0.691  0.032 (multiplicity 1)
O  0.367  0.725  0.420 (multiplicity 1)
O  0.368  0.055  0.420 (multiplicity 1)
O  0.368  0.766  0.873 (multiplicity 1)
O  0.370  0.397  0.421 (multiplicity 1)
O  0.409  0.506  0.867 (multiplicity 1)
O  0.602  0.491  0.139 (multiplicity 1)
O  0.638  0.939  0.582 (multiplicity 1)
O  0.641  0.272  0.583 (multiplicity 1)
O  0.649  0.242  0.136 (multiplicity 1)
O  0.651  0.621  0.584 (multiplicity 1)
O  0.672  0.323  0.971 (multiplicity 1)
O  0.694  0.714  0.419 (multiplicity 1)
O  0.698  0.050  0.420 (multiplicity 1)
O  0.700  0.917  0.171 (multiplicity 1)
O  0.702  0.394  0.425 (multiplicity 1)
O  0.752  0.054  0.828 (multiplicity 1)
O  0.774  0.666  0.855 (multiplicity 1)
O  0.785  0.525  0.832 (multiplicity 1)
O  0.818  0.045  0.147 (multiplicity 1)
O  0.903  0.079  0.852 (multiplicity 1)
O  0.903  0.536  0.131 (multiplicity 1)
O  0.976  0.942  0.579 (multiplicity 1)
O  0.983  0.286  0.582 (multiplicity 1)
O  0.986  0.623  0.585 (multiplicity 1)

The 8 most intense peaks (10 to 80 degrees two-theta), in order of falling intensity:
2θ = 14.89°, I = 100, hkl 0 0 2; 2θ = 22.42°, I = 53, hkl 0 0 3; 2θ = 38.76°, I = 14, hkl 3 0 -3; 2θ = 21.71°, I = 12, hkl -2 1 1; 2θ = 21.50°, I = 12, hkl 1 1 0; 2θ = 38.27°, I = 10, hkl 0 3 0; 2θ = 47.20°, I = 10, hkl 3 0 -5; 2θ = 39.10°, I = 9, hkl 3 -3 3



No. 3
Calculated powder XRD pattern of Na6Al4FeSi8O26 for Cu Kα (λ = 1.5418 Å), from a cell relaxed with PBE+U.
Neutral-atom scattering factors, no anomalous dispersion.

Cell and atoms:
a = 15.176 Å, b = 8.083 Å, c = 10.634 Å
α = 90.00°, β = 113.70°, γ = 90.00°
Space group C2 (No. 5)
Unique sites:
Na  0.034  0.000  0.334 (multiplicity 4)
Na  0.158  0.486  0.390 (multiplicity 4)
Na  0.230  0.996  0.943 (multiplicity 4)
Al  0.059  0.297  0.844 (multiplicity 4)
Al  0.145  0.793  0.152 (multiplicity 4)
Fe  0.000  0.477  0.500 (multiplicity 2)
Si  0.060  0.687  0.843 (multiplicity 4)
Si  0.147  0.189  0.151 (multiplicity 4)
Si  0.150  0.790  0.632 (multiplicity 4)
Si  0.151  0.174  0.631 (multiplicity 4)
O  0.037  0.500  0.782 (multiplicity 4)
O  0.037  0.788  0.177 (multiplicity 4)
O  0.049  0.199  0.177 (multiplicity 4)
O  0.099  0.297  0.505 (multiplicity 4)
O  0.101  0.655  0.516 (multiplicity 4)
O  0.109  0.796  0.755 (multiplicity 4)
O  0.110  0.174  0.752 (multiplicity 4)
O  0.131  0.980  0.566 (multiplicity 4)
O  0.138  0.689  0.002 (multiplicity 4)
O  0.143  0.293  0.017 (multiplicity 4)
O  0.177  0.998  0.136 (multiplicity 4)
O  0.231  0.276  0.290 (multiplicity 4)
O  0.231  0.690  0.295 (multiplicity 4)

The 8 most intense peaks (10 to 80 degrees two-theta), in order of falling intensity:
2θ = 24.30°, I = 100, hkl 1 1 2; 2θ = 28.70°, I = 80, hkl 3 1 -3; 2θ = 28.84°, I = 71, hkl 2 2 1; 2θ = 25.21°, I = 64, hkl 2 0 -3; 2θ = 21.99°, I = 62, hkl 0 2 0; 2θ = 24.79°, I = 57, hkl 4 0 -2; 2θ = 34.03°, I = 52, hkl 4 2 0; 2θ = 12.32°, I = 42, hkl 2 0 -1